# 1
# CePr2PuSb4
Computed XRD peak list, Cu Kα (λ = 1.5418 Å). Input: the GGA-PBE geometry in Alexandria.
Kinematic intensities with the Lorentz-polarization factor, no thermal factor.

The 6 most intense peaks (2θ = 10–80°), in order of falling intensity:
d (Å)	I_rel
3.190	100
2.256	77
1.427	24
1.843	21
1.303	15
1.595	13

Cell and atoms:
a = 7.806 Å, b = 4.512 Å, c = 7.823 Å
α = 90.00°, β = 109.47°, γ = 90.00°
Fractional coordinates of all 8 atoms:
Ce 0.000 0.000 0.000
Pr 0.000 0.500 0.500
Pr 0.500 0.000 0.500
Pu 0.500 0.500 0.000
Sb 0.248 0.500 0.243
Sb 0.254 0.000 0.759
Sb 0.746 0.000 0.241
Sb 0.752 0.500 0.757

***

# 2
# U4AgS8
Computed XRD peak list, Cu Kα (λ = 1.5418 Å). Input: the GGA-PBE geometry in Alexandria.
Kinematic intensities with the Lorentz-polarization factor, no thermal factor.

The 6 most intense peaks (2θ = 10–80°), in order of falling intensity:
d (Å)	I_rel
6.309	100
3.455	84
3.037	59
2.336	50
3.020	40
1.995	39

Cell and atoms:
a = 7.466 Å, b = 7.466 Å, c = 9.311 Å
α = 124.54°, β = 124.54°, γ = 64.64°
Fractional coordinates of all 13 atoms:
U 0.248 0.752 0.000
U 0.262 0.262 0.498
U 0.738 0.738 0.502
U 0.752 0.248 0.000
Ag 0.000 0.000 0.500
S 0.181 0.709 0.663
S 0.194 0.194 0.157
S 0.291 0.819 0.337
S 0.304 0.304 0.824
S 0.696 0.696 0.176
S 0.709 0.181 0.663
S 0.806 0.806 0.843
S 0.819 0.291 0.337

***

# 3
# TbZn6Ag2
Computed XRD peak list, Cu Kα (λ = 1.5418 Å). Input: the GGA-PBE geometry in Alexandria.
Kinematic intensities with the Lorentz-polarization factor, no thermal factor.

The 6 most intense peaks (2θ = 10–80°), in order of falling intensity:
d (Å)	I_rel
2.494	100
2.265	70
2.070	67
2.883	65
1.366	33
1.818	27

Cell and atoms:
a = 7.494 Å, b = 7.494 Å, c = 7.494 Å
α = 151.93°, β = 123.24°, γ = 64.50°
Fractional coordinates of all 9 atoms:
Tb 0.000 0.000 0.000
Zn 0.005 0.317 0.688
Zn 0.326 0.500 0.826
Zn 0.371 0.683 0.688
Zn 0.629 0.317 0.312
Zn 0.674 0.500 0.174
Zn 0.995 0.683 0.312
Ag 0.369 0.869 0.500
Ag 0.631 0.131 0.500

***

# 4
# Ba2LiO2
Computed XRD peak list, Cu Kα (λ = 1.5418 Å). Input: the GGA-PBE geometry in Alexandria.
Kinematic intensities with the Lorentz-polarization factor, no thermal factor.

The 6 most intense peaks (2θ = 10–80°), in order of falling intensity:
d (Å)	I_rel
3.521	100
2.977	70
3.013	52
2.876	48
3.314	30
4.140	23

Cell and atoms:
a = 8.417 Å, b = 6.543 Å, c = 7.742 Å
α = 90.00°, β = 96.90°, γ = 90.00°
Fractional coordinates of all 20 atoms:
Ba 0.108 0.174 0.340
Ba 0.108 0.326 0.840
Ba 0.332 0.682 0.513
Ba 0.332 0.818 0.013
Ba 0.668 0.182 0.987
Ba 0.668 0.318 0.487
Ba 0.892 0.674 0.160
Ba 0.892 0.826 0.660
Li 0.397 0.108 0.690
Li 0.397 0.392 0.190
Li 0.603 0.608 0.810
Li 0.603 0.892 0.310
O 0.186 0.510 0.150
O 0.186 0.990 0.650
O 0.442 0.104 0.236
O 0.442 0.396 0.736
O 0.558 0.604 0.264
O 0.558 0.896 0.764
O 0.814 0.010 0.350
O 0.814 0.490 0.850

***

What did the third record say?
# TbZn6Ag2
Computed XRD peak list, Cu Kα (λ = 1.5418 Å). Input: the GGA-PBE geometry in Alexandria.
Kinematic intensities with the Lorentz-polarization factor, no thermal factor.

The 6 most intense peaks (2θ = 10–80°), in order of falling intensity:
d (Å)	I_rel
2.494	100
2.265	70
2.070	67
2.883	65
1.366	33
1.818	27

Cell and atoms:
a = 7.494 Å, b = 7.494 Å, c = 7.494 Å
α = 151.93°, β = 123.24°, γ = 64.50°
Fractional coordinates of all 9 atoms:
Tb 0.000 0.000 0.000
Zn 0.005 0.317 0.688
Zn 0.326 0.500 0.826
Zn 0.371 0.683 0.688
Zn 0.629 0.317 0.312
Zn 0.674 0.500 0.174
Zn 0.995 0.683 0.312
Ag 0.369 0.869 0.500
Ag 0.631 0.131 0.500